Entry 1:
Computed powder XRD pattern
Compound: Pr3ZrP4
Radiation: Cu Kα (weighted mean of Kα1 and Kα2)
Structure: the GGA-PBE geometry in Alexandria
Peak positions follow from Bragg's law for the DFT cell and can differ from measured ones.

Crystal structure
Unit cell a=7.0648 b=7.0648 c=4.0724 alpha=90.00 beta=90.00 gamma=109.19
Fractional positions:
Pr 0.0000 0.0000 0.0000
Pr 0.0000 0.5000 0.5000
Pr 0.5000 0.0000 0.5000
Zr 0.5000 0.5000 0.0000
P 0.2614 0.7386 0.0000
P 0.2699 0.2699 0.5000
P 0.7301 0.7301 0.5000
P 0.7386 0.2614 0.0000

Principal peaks in the range 10 to 80 degrees two-theta, low angle first:
d_spacing  intensity
3.331  73
2.884  100
2.038  60
1.738  24
1.662  13
1.288  16

***

Entry 2:
Computed powder XRD pattern
Compound: P5Pt
Radiation: Cu Kα (weighted mean of Kα1 and Kα2)
Structure: the GGA-PBE geometry in Alexandria
Peak positions follow from Bragg's law for the DFT cell and can differ from measured ones.

Crystal structure
Unit cell a=5.5699 b=5.5699 c=4.8668 alpha=90.00 beta=90.00 gamma=143.22
Fractional positions:
P 0.0000 0.0000 0.0000
P 0.3254 0.6746 0.0000
P 0.3385 0.6615 0.5000
P 0.6615 0.3385 0.5000
P 0.6746 0.3254 0.0000
Pt 0.0000 0.0000 0.5000

Principal peaks in the range 10 to 80 degrees two-theta, low angle first:
d_spacing  intensity
5.285  67
4.867  57
3.580  62
2.751  54
2.488  100
1.740  66

***

Entry 3:
Computed powder XRD pattern
Compound: PPt
Radiation: Cu Kα (weighted mean of Kα1 and Kα2)
Structure: the GGA-PBE geometry in Alexandria
Peak positions follow from Bragg's law for the DFT cell and can differ from measured ones.

Crystal structure
Unit cell a=3.6786 b=3.6786 c=6.5393 alpha=90.00 beta=90.00 gamma=120.00
Fractional positions:
P 0.3333 0.6667 0.0000
P 0.6667 0.3333 0.5000
Pt 0.3333 0.6667 0.3597
Pt 0.6667 0.3333 0.8597

Principal peaks in the range 10 to 80 degrees two-theta, low angle first:
d_spacing  intensity
3.270  37
3.186  37
2.864  100
1.839  30
1.799  41
1.603  29

***

Entry 4:
Computed powder XRD pattern
Compound: PPt3
Radiation: Cu Kα (weighted mean of Kα1 and Kα2)
Structure: the GGA-PBE geometry in Alexandria
Peak positions follow from Bragg's law for the DFT cell and can differ from measured ones.

Crystal structure
Unit cell a=5.1909 b=7.9044 c=6.0326 alpha=90.00 beta=90.00 gamma=90.00
Fractional positions:
P 0.1486 0.2500 0.0635
P 0.3514 0.7500 0.5635
P 0.6486 0.2500 0.4365
P 0.8514 0.7500 0.9365
Pt 0.0085 0.2500 0.6628
Pt 0.1927 0.5636 0.8498
Pt 0.1927 0.9364 0.8498
Pt 0.3073 0.0636 0.3498
Pt 0.3073 0.4364 0.3498
Pt 0.4915 0.7500 0.1628
Pt 0.5085 0.2500 0.8372
Pt 0.6927 0.5636 0.6502
Pt 0.6927 0.9364 0.6502
Pt 0.8073 0.0636 0.1502
Pt 0.8073 0.4364 0.1502
Pt 0.9915 0.7500 0.3372

Principal peaks in the range 10 to 80 degrees two-theta, low angle first:
d_spacing  intensity
2.608  63
2.477  60
2.415  100
2.283  58
2.177  53
2.169  56